Entry 1:
Calculated XRD peak list of CaAl2H16N9 for λ = 1.5418 Å (Cu Kα), from a PBE-relaxed structure.
Kinematic intensities with the Lorentz-polarization factor, no thermal factor.

Peak list (10 most intense, 5° ≤ 2θ ≤ 70°, by angle)
11.41°, d 7.752, intensity 100
12.33°, d 7.180, intensity 13
17.46°, d 5.080, intensity 41
20.94°, d 4.242, intensity 21
24.82°, d 3.587, intensity 18
27.40°, d 3.255, intensity 17
30.51°, d 2.930, intensity 14
32.00°, d 2.797, intensity 13
33.72°, d 2.658, intensity 13
39.70°, d 2.270, intensity 10

Structural model:
abc: 8.873 8.873 10.295
angles: 117.67 117.67 69.87
Element x y z (fractional)
Ca: 0.063 0.937 0.750
Ca: 0.937 0.063 0.250
Al: 0.173 0.220 0.705
Al: 0.220 0.173 0.205
Al: 0.780 0.827 0.795
Al: 0.827 0.780 0.295
H: 0.026 0.322 0.898
H: 0.036 0.615 0.463
H: 0.063 0.623 0.803
H: 0.092 0.778 0.975
H: 0.123 0.710 0.278
H: 0.145 0.317 0.505
H: 0.222 0.908 0.525
H: 0.290 0.877 0.222
H: 0.297 0.474 0.384
H: 0.317 0.145 0.005
H: 0.322 0.026 0.398
H: 0.329 0.450 0.947
H: 0.377 0.937 0.697
H: 0.385 0.964 0.037
H: 0.450 0.329 0.447
H: 0.474 0.297 0.884
H: 0.526 0.703 0.116
H: 0.550 0.671 0.553
H: 0.615 0.036 0.963
H: 0.623 0.063 0.303
H: 0.671 0.550 0.053
H: 0.678 0.974 0.602
H: 0.683 0.855 0.995
H: 0.703 0.526 0.616
H: 0.710 0.123 0.778
H: 0.778 0.092 0.475
H: 0.855 0.683 0.495
H: 0.877 0.290 0.722
H: 0.908 0.222 0.025
H: 0.937 0.377 0.197
H: 0.964 0.385 0.537
H: 0.974 0.678 0.102
N: 0.003 0.251 0.781
N: 0.021 0.750 0.857
N: 0.061 0.281 0.525
N: 0.250 0.979 0.643
N: 0.251 0.003 0.281
N: 0.281 0.061 0.025
N: 0.323 0.351 0.380
N: 0.351 0.323 0.880
N: 0.353 0.647 0.750
N: 0.647 0.353 0.250
N: 0.649 0.677 0.120
N: 0.677 0.649 0.620
N: 0.719 0.939 0.975
N: 0.749 0.997 0.719
N: 0.750 0.021 0.357
N: 0.939 0.719 0.475
N: 0.979 0.250 0.143
N: 0.997 0.749 0.219

***

Entry 2:
Calculated XRD peak list of LaCu6 for λ = 1.5418 Å (Cu Kα), from a PBE-relaxed structure.
Kinematic intensities with the Lorentz-polarization factor, no thermal factor.

Peak list (10 most intense, 5° ≤ 2θ ≤ 70°, by angle)
31.46°, d 2.843, intensity 14
34.81°, d 2.578, intensity 21
36.86°, d 2.439, intensity 29
37.62°, d 2.391, intensity 14
38.62°, d 2.331, intensity 100
39.14°, d 2.302, intensity 16
41.50°, d 2.176, intensity 17
42.47°, d 2.128, intensity 17
45.51°, d 1.993, intensity 62
45.75°, d 1.983, intensity 15

Structural model:
abc: 8.120 5.155 10.226
angles: 90.00 90.00 90.00
Element x y z (fractional)
La: 0.238 0.250 0.065
La: 0.262 0.750 0.565
La: 0.738 0.250 0.435
La: 0.762 0.750 0.935
Cu: 0.061 0.750 0.098
Cu: 0.064 0.005 0.310
Cu: 0.064 0.495 0.310
Cu: 0.099 0.250 0.516
Cu: 0.147 0.750 0.859
Cu: 0.182 0.250 0.753
Cu: 0.318 0.750 0.253
Cu: 0.353 0.250 0.359
Cu: 0.401 0.750 0.016
Cu: 0.436 0.505 0.810
Cu: 0.436 0.995 0.810
Cu: 0.439 0.250 0.598
Cu: 0.561 0.750 0.402
Cu: 0.564 0.005 0.190
Cu: 0.564 0.495 0.190
Cu: 0.599 0.250 0.984
Cu: 0.647 0.750 0.641
Cu: 0.682 0.250 0.747
Cu: 0.818 0.750 0.247
Cu: 0.853 0.250 0.141
Cu: 0.901 0.750 0.484
Cu: 0.936 0.505 0.690
Cu: 0.936 0.995 0.690
Cu: 0.939 0.250 0.902

***

Entry 3:
Calculated XRD peak list of YSiO3 for λ = 1.5418 Å (Cu Kα), from a PBE-relaxed structure.
Kinematic intensities with the Lorentz-polarization factor, no thermal factor.

Peak list (6 most intense, 5° ≤ 2θ ≤ 70°, by angle)
23.90°, d 3.724, intensity 23
34.05°, d 2.633, intensity 100
42.03°, d 2.150, intensity 42
48.92°, d 1.862, intensity 44
55.16°, d 1.665, intensity 11
60.95°, d 1.520, intensity 38

Structural model:
abc: 3.724 3.724 3.724
angles: 90.00 90.00 90.00
Element x y z (fractional)
Y: 0.000 0.000 0.000
Si: 0.500 0.500 0.500
O: 0.000 0.500 0.500
O: 0.500 0.000 0.500
O: 0.500 0.500 0.000

***

Entry 4:
Calculated XRD peak list of SnO2 for λ = 1.5418 Å (Cu Kα), from a PBE-relaxed structure.
Kinematic intensities with the Lorentz-polarization factor, no thermal factor.

Peak list (10 most intense, 5° ≤ 2θ ≤ 70°, by angle)
16.95°, d 5.230, intensity 85
19.47°, d 4.560, intensity 97
29.09°, d 3.070, intensity 61
31.14°, d 2.872, intensity 100
38.62°, d 2.331, intensity 57
39.10°, d 2.304, intensity 49
39.58°, d 2.277, intensity 30
42.46°, d 2.129, intensity 33
60.11°, d 1.539, intensity 49
60.98°, d 1.519, intensity 27

Structural model:
abc: 5.316 5.316 10.460
angles: 90.00 90.00 144.73
Element x y z (fractional)
Sn: 0.137 0.863 0.580
Sn: 0.137 0.863 0.920
Sn: 0.863 0.137 0.080
Sn: 0.863 0.137 0.420
O: 0.053 0.947 0.750
O: 0.235 0.765 0.101
O: 0.235 0.765 0.399
O: 0.500 0.500 0.000
O: 0.500 0.500 0.500
O: 0.765 0.235 0.601
O: 0.765 0.235 0.899
O: 0.947 0.053 0.250

***

Entry 5:
Calculated XRD peak list of SrMg14Nb for λ = 1.5418 Å (Cu Kα), from a PBE-relaxed structure.
Kinematic intensities with the Lorentz-polarization factor, no thermal factor.

Peak list (10 most intense, 5° ≤ 2θ ≤ 70°, by angle)
15.61°, d 5.678, intensity 31
23.40°, d 3.801, intensity 24
31.51°, d 2.839, intensity 29
35.07°, d 2.558, intensity 23
36.18°, d 2.483, intensity 100
47.86°, d 1.901, intensity 17
56.11°, d 1.639, intensity 18
63.64°, d 1.462, intensity 17
67.91°, d 1.380, intensity 18
68.61°, d 1.368, intensity 14

Structural model:
abc: 6.557 6.557 10.234
angles: 90.00 90.00 120.00
Element x y z (fractional)
Sr: 0.000 0.000 0.000
Mg: 0.010 0.505 0.000
Mg: 0.166 0.332 0.267
Mg: 0.166 0.332 0.733
Mg: 0.166 0.834 0.267
Mg: 0.166 0.834 0.733
Mg: 0.495 0.505 0.000
Mg: 0.495 0.990 0.000
Mg: 0.501 0.002 0.500
Mg: 0.501 0.499 0.500
Mg: 0.667 0.333 0.244
Mg: 0.667 0.333 0.756
Mg: 0.668 0.834 0.267
Mg: 0.668 0.834 0.733
Mg: 0.998 0.499 0.500
Nb: 0.000 0.000 0.500

***

Entry 6:
Calculated XRD peak list of HoH9C5N2O8 for λ = 1.5418 Å (Cu Kα), from a PBE-relaxed structure.
Kinematic intensities with the Lorentz-polarization factor, no thermal factor.

Peak list (10 most intense, 5° ≤ 2θ ≤ 70°, by angle)
13.95°, d 6.347, intensity 27
14.08°, d 6.290, intensity 100
17.36°, d 5.108, intensity 75
19.52°, d 4.547, intensity 20
20.64°, d 4.303, intensity 15
28.38°, d 3.145, intensity 26
28.56°, d 3.125, intensity 22
30.01°, d 2.978, intensity 23
42.07°, d 2.148, intensity 18
42.43°, d 2.130, intensity 19

Structural model:
abc: 9.816 9.816 8.606
angles: 90.00 90.00 139.71
Element x y z (fractional)
Ho: 0.142 0.858 0.750
Ho: 0.858 0.142 0.250
H: 0.076 0.498 0.558
H: 0.174 0.359 0.896
H: 0.233 0.233 0.500
H: 0.314 0.686 0.250
H: 0.342 0.355 0.829
H: 0.345 0.655 0.750
H: 0.355 0.342 0.171
H: 0.359 0.174 0.104
H: 0.498 0.076 0.442
H: 0.502 0.924 0.942
H: 0.641 0.826 0.604
H: 0.645 0.658 0.671
H: 0.655 0.345 0.250
H: 0.658 0.645 0.329
H: 0.686 0.314 0.750
H: 0.767 0.767 0.000
H: 0.826 0.641 0.396
H: 0.924 0.502 0.058
C: 0.006 0.518 0.475
C: 0.069 0.069 0.500
C: 0.374 0.626 0.250
C: 0.405 0.595 0.750
C: 0.482 0.994 0.025
C: 0.518 0.006 0.525
C: 0.595 0.405 0.250
C: 0.626 0.374 0.750
C: 0.931 0.931 0.000
C: 0.994 0.482 0.975
N: 0.302 0.426 0.833
N: 0.426 0.302 0.167
N: 0.574 0.698 0.667
N: 0.698 0.574 0.333
O: 0.004 0.641 0.514
O: 0.030 0.931 0.574
O: 0.068 0.584 0.848
O: 0.069 0.970 0.926
O: 0.242 0.428 0.265
O: 0.359 0.996 0.986
O: 0.416 0.932 0.652
O: 0.428 0.242 0.735
O: 0.572 0.758 0.235
O: 0.584 0.068 0.152
O: 0.641 0.004 0.486
O: 0.758 0.572 0.765
O: 0.931 0.030 0.426
O: 0.932 0.416 0.348
O: 0.970 0.069 0.074
O: 0.996 0.359 0.014

***

Entry 7:
Calculated XRD peak list of LaH6Au3C6N6O3 for λ = 1.5418 Å (Cu Kα), from a PBE-relaxed structure.
Kinematic intensities with the Lorentz-polarization factor, no thermal factor.

Peak list (10 most intense, 5° ≤ 2θ ≤ 70°, by angle)
9.41°, d 9.399, intensity 85
17.77°, d 4.993, intensity 100
18.88°, d 4.699, intensity 56
27.89°, d 3.199, intensity 30
30.34°, d 2.946, intensity 69
31.83°, d 2.812, intensity 44
35.98°, d 2.496, intensity 93
41.67°, d 2.167, intensity 23
49.63°, d 1.837, intensity 35
57.63°, d 1.600, intensity 24

Structural model:
abc: 6.805 6.805 18.797
angles: 90.00 90.00 120.00
Element x y z (fractional)
La: 0.000 0.000 0.250
La: 0.000 0.000 0.750
H: 0.000 0.460 0.208
H: 0.000 0.460 0.292
H: 0.000 0.540 0.708
H: 0.000 0.540 0.792
H: 0.460 0.000 0.208
H: 0.460 0.000 0.292
H: 0.460 0.460 0.708
H: 0.460 0.460 0.792
H: 0.540 0.000 0.708
H: 0.540 0.000 0.792
H: 0.540 0.540 0.208
H: 0.540 0.540 0.292
Au: 0.000 0.500 0.000
Au: 0.000 0.500 0.500
Au: 0.500 0.000 0.000
Au: 0.500 0.000 0.500
Au: 0.500 0.500 0.000
Au: 0.500 0.500 0.500
C: 0.000 0.359 0.593
C: 0.000 0.359 0.907
C: 0.000 0.641 0.093
C: 0.000 0.641 0.407
C: 0.359 0.000 0.593
C: 0.359 0.000 0.907
C: 0.359 0.359 0.093
C: 0.359 0.359 0.407
C: 0.641 0.000 0.093
C: 0.641 0.000 0.407
C: 0.641 0.641 0.593
C: 0.641 0.641 0.907
N: 0.000 0.276 0.648
N: 0.000 0.276 0.852
N: 0.000 0.724 0.148
N: 0.000 0.724 0.352
N: 0.276 0.000 0.648
N: 0.276 0.000 0.852
N: 0.276 0.276 0.148
N: 0.276 0.276 0.352
N: 0.724 0.000 0.148
N: 0.724 0.000 0.352
N: 0.724 0.724 0.648
N: 0.724 0.724 0.852
O: 0.000 0.374 0.250
O: 0.000 0.626 0.750
O: 0.374 0.000 0.250
O: 0.374 0.374 0.750
O: 0.626 0.000 0.750
O: 0.626 0.626 0.250

***

Entry 8:
Calculated XRD peak list of HfNi3 for λ = 1.5418 Å (Cu Kα), from a PBE-relaxed structure.
Kinematic intensities with the Lorentz-polarization factor, no thermal factor.

Peak list (10 most intense, 5° ≤ 2θ ≤ 70°, by angle)
20.00°, d 4.440, intensity 13
26.91°, d 3.313, intensity 33
30.36°, d 2.944, intensity 35
34.03°, d 2.634, intensity 27
39.79°, d 2.265, intensity 40
40.64°, d 2.220, intensity 15
42.21°, d 2.141, intensity 54
43.91°, d 2.062, intensity 100
46.24°, d 1.963, intensity 91
55.29°, d 1.662, intensity 14

Structural model:
abc: 7.107 7.107 7.107
angles: 43.51 43.51 43.51
Element x y z (fractional)
Hf: 0.000 0.000 0.000
Hf: 0.219 0.219 0.219
Hf: 0.781 0.781 0.781
Ni: 0.000 0.500 0.500
Ni: 0.244 0.713 0.713
Ni: 0.287 0.287 0.756
Ni: 0.287 0.756 0.287
Ni: 0.500 0.000 0.500
Ni: 0.500 0.500 0.000
Ni: 0.713 0.244 0.713
Ni: 0.713 0.713 0.244
Ni: 0.756 0.287 0.287

***

Entry 9:
Calculated XRD peak list of Zr3Sn for λ = 1.5418 Å (Cu Kα), from a PBE-relaxed structure.
Kinematic intensities with the Lorentz-polarization factor, no thermal factor.

Peak list (10 most intense, 5° ≤ 2θ ≤ 70°, by angle)
33.16°, d 2.701, intensity 37
34.85°, d 2.574, intensity 47
35.90°, d 2.502, intensity 76
37.60°, d 2.392, intensity 100
48.87°, d 1.864, intensity 24
56.84°, d 1.620, intensity 20
60.42°, d 1.532, intensity 9
63.17°, d 1.472, intensity 14
64.31°, d 1.449, intensity 20
68.43°, d 1.371, intensity 22

Structural model:
abc: 5.148 6.128 5.725
angles: 90.00 90.00 90.00
Element x y z (fractional)
Zr: 0.250 0.000 0.148
Zr: 0.250 0.250 0.634
Zr: 0.250 0.500 0.148
Zr: 0.750 0.000 0.852
Zr: 0.750 0.500 0.852
Zr: 0.750 0.750 0.366
Sn: 0.250 0.750 0.667
Sn: 0.750 0.250 0.333

***

Entry 10:
Calculated XRD peak list of CeMg2 for λ = 1.5418 Å (Cu Kα), from a PBE-relaxed structure.
Kinematic intensities with the Lorentz-polarization factor, no thermal factor.

Peak list (10 most intense, 5° ≤ 2θ ≤ 70°, by angle)
18.88°, d 4.700, intensity 100
19.98°, d 4.443, intensity 42
28.47°, d 3.136, intensity 24
31.90°, d 2.806, intensity 20
32.33°, d 2.769, intensity 40
32.82°, d 2.729, intensity 22
34.33°, d 2.612, intensity 50
35.88°, d 2.503, intensity 91
59.99°, d 1.542, intensity 20
64.98°, d 1.435, intensity 21

Structural model:
abc: 9.028 9.028 5.538
angles: 90.00 90.00 159.68
Element x y z (fractional)
Ce: 0.110 0.890 0.750
Ce: 0.890 0.110 0.250
Mg: 0.219 0.781 0.250
Mg: 0.444 0.556 0.750
Mg: 0.556 0.444 0.250
Mg: 0.781 0.219 0.750